1.
Simulated powder diffraction line list
Compound: Sm7YHo2
Radiation: Cu Kα (weighted mean of Kα1 and Kα2)
Structure: a DFT-relaxed cell (PBE, Alexandria)

Crystal structure
a b c (Å): 6.229 6.242 9.534
angles (deg): 70.90 70.98 80.57
Element x y z (fractional)
Sm  0.000  0.000  0.000
Sm  0.001  0.401  0.199
Sm  0.002  0.801  0.399
Sm  0.499  0.899  0.701
Sm  0.501  0.101  0.299
Sm  0.998  0.199  0.601
Sm  0.999  0.599  0.801
Y  0.500  0.500  0.500
Ho  0.500  0.299  0.901
Ho  0.500  0.701  0.099

Most intense lines, 10° ≤ 2θ ≤ 90°, by intensity:
2θ 30.39, 2.941 Å, I = 100; 2θ 35.21, 2.549 Å, I = 34; 2θ 50.67, 1.802 Å, I = 30; 2θ 60.20, 1.537 Å, I = 22; 2θ 60.31, 1.535 Å, I = 18; 2θ 35.28, 2.544 Å, I = 17; 2θ 82.53, 1.169 Å, I = 7; 2θ 85.09, 1.140 Å, I = 7; 2θ 63.18, 1.472 Å, I = 6; 2θ 63.29, 1.469 Å, I = 6



2.
Simulated powder diffraction line list
Compound: Tl6Se2I
Radiation: Cu Kα (weighted mean of Kα1 and Kα2)
Structure: a DFT-relaxed cell (PBE, Alexandria)

Crystal structure
a b c (Å): 9.029 9.029 9.063
angles (deg): 96.32 96.32 27.71
Element x y z (fractional)
Tl  0.055  0.055  0.158
Tl  0.166  0.166  0.864
Tl  0.340  0.340  0.553
Tl  0.660  0.660  0.447
Tl  0.834  0.834  0.136
Tl  0.945  0.945  0.842
Se  0.230  0.230  0.234
Se  0.770  0.770  0.766
I  0.000  0.000  0.500

Most intense lines, 10° ≤ 2θ ≤ 90°, by intensity:
2θ 36.32, 2.474 Å, I = 100; 2θ 28.19, 3.166 Å, I = 88; 2θ 21.17, 4.198 Å, I = 86; 2θ 33.65, 2.664 Å, I = 83; 2θ 26.87, 3.318 Å, I = 83; 2θ 29.77, 3.001 Å, I = 79; 2θ 23.64, 3.764 Å, I = 73; 2θ 30.12, 2.967 Å, I = 72; 2θ 31.47, 2.842 Å, I = 66; 2θ 41.77, 2.162 Å, I = 56



3.
Simulated powder diffraction line list
Compound: CeAsPd
Radiation: Cu Kα (weighted mean of Kα1 and Kα2)
Structure: a DFT-relaxed cell (PBE, Alexandria)

Crystal structure
a b c (Å): 4.369 4.369 7.807
angles (deg): 90.00 90.00 120.00
Element x y z (fractional)
Ce  0.000  0.000  0.000
Ce  0.000  0.000  0.500
As  0.333  0.667  0.250
As  0.667  0.333  0.750
Pd  0.333  0.667  0.750
Pd  0.667  0.333  0.250

Most intense lines, 10° ≤ 2θ ≤ 90°, by intensity:
2θ 32.97, 2.717 Å, I = 100; 2θ 41.33, 2.184 Å, I = 52; 2θ 63.97, 1.455 Å, I = 28; 2θ 53.85, 1.702 Å, I = 25; 2θ 70.08, 1.343 Å, I = 22; 2θ 46.53, 1.952 Å, I = 12; 2θ 75.36, 1.261 Å, I = 9; 2θ 77.59, 1.230 Å, I = 8; 2θ 89.79, 1.092 Å, I = 6; 2θ 23.51, 3.784 Å, I = 5



4.
Simulated powder diffraction line list
Compound: La2DyHo12
Radiation: Cu Kα (weighted mean of Kα1 and Kα2)
Structure: a DFT-relaxed cell (PBE, Alexandria)

Crystal structure
a b c (Å): 3.540 5.651 24.778
angles (deg): 90.00 90.00 90.00
Element x y z (fractional)
La  0.000  0.000  0.232
La  0.000  0.000  0.768
Dy  0.000  0.000  0.500
Ho  0.000  0.500  0.062
Ho  0.000  0.500  0.423
Ho  0.000  0.500  0.577
Ho  0.000  0.500  0.938
Ho  0.500  0.000  0.085
Ho  0.500  0.000  0.376
Ho  0.500  0.000  0.624
Ho  0.500  0.000  0.915
Ho  0.500  0.500  0.172
Ho  0.500  0.500  0.303
Ho  0.500  0.500  0.697
Ho  0.500  0.500  0.828

Most intense lines, 10° ≤ 2θ ≤ 90°, by intensity:
2θ 31.68, 2.824 Å, I = 100; 2θ 30.67, 2.915 Å, I = 76; 2θ 32.98, 2.716 Å, I = 64; 2θ 37.04, 2.427 Å, I = 59; 2θ 29.78, 3.000 Å, I = 48; 2θ 33.18, 2.700 Å, I = 47; 2θ 61.86, 1.500 Å, I = 25; 2θ 29.05, 3.073 Å, I = 24; 2θ 51.65, 1.770 Å, I = 21; 2θ 62.65, 1.483 Å, I = 20



5.
Simulated powder diffraction line list
Compound: TbUZn17
Radiation: Cu Kα (weighted mean of Kα1 and Kα2)
Structure: a DFT-relaxed cell (PBE, Alexandria)

Crystal structure
a b c (Å): 6.791 6.791 6.791
angles (deg): 82.74 82.74 82.74
Element x y z (fractional)
Tb  0.000  0.000  0.000
U  0.672  0.672  0.672
Zn  0.040  0.336  0.633
Zn  0.040  0.633  0.336
Zn  0.176  0.688  0.688
Zn  0.237  0.237  0.237
Zn  0.336  0.040  0.633
Zn  0.336  0.633  0.040
Zn  0.337  0.337  0.836
Zn  0.337  0.836  0.337
Zn  0.437  0.437  0.437
Zn  0.500  0.982  0.982
Zn  0.633  0.040  0.336
Zn  0.633  0.336  0.040
Zn  0.688  0.176  0.688
Zn  0.688  0.688  0.176
Zn  0.836  0.337  0.337
Zn  0.982  0.500  0.982
Zn  0.982  0.982  0.500

Most intense lines, 10° ≤ 2θ ≤ 90°, by intensity:
2θ 40.42, 2.231 Å, I = 100; 2θ 40.18, 2.244 Å, I = 59; 2θ 41.16, 2.193 Å, I = 46; 2θ 34.61, 2.591 Å, I = 42; 2θ 28.45, 3.138 Å, I = 36; 2θ 35.75, 2.512 Å, I = 25; 2θ 58.87, 1.569 Å, I = 23; 2θ 58.30, 1.583 Å, I = 20; 2θ 74.49, 1.274 Å, I = 20; 2θ 41.42, 2.180 Å, I = 20



6.
Simulated powder diffraction line list
Compound: BC3
Radiation: Cu Kα (weighted mean of Kα1 and Kα2)
Structure: a DFT-relaxed cell (PBE, Alexandria)

Crystal structure
a b c (Å): 4.441 4.441 4.576
angles (deg): 99.52 99.52 119.26
Element x y z (fractional)
B  0.000  0.000  0.000
B  0.325  0.975  0.829
B  0.975  0.325  0.829
C  0.145  0.145  0.357
C  0.180  0.844  0.463
C  0.358  0.682  0.986
C  0.475  0.805  0.345
C  0.515  0.515  0.476
C  0.630  0.630  0.844
C  0.682  0.358  0.986
C  0.805  0.475  0.345
C  0.844  0.180  0.463

Most intense lines, 10° ≤ 2θ ≤ 90°, by intensity:
2θ 43.06, 2.101 Å, I = 100; 2θ 42.61, 2.122 Å, I = 47; 2θ 41.78, 2.162 Å, I = 45; 2θ 72.13, 1.310 Å, I = 25; 2θ 73.30, 1.292 Å, I = 24; 2θ 88.10, 1.109 Å, I = 13; 2θ 71.81, 1.315 Å, I = 13; 2θ 74.25, 1.277 Å, I = 12; 2θ 86.99, 1.120 Å, I = 9; 2θ 89.58, 1.094 Å, I = 7